For ErThFe10, DFT lattice parameters and positions (PBE) gives the computed PXRD pattern in this record (Cu Kα).
Lines closer than 0.1° are merged.

Structural model:
```
data_ErThFe10
_chemical_formula_sum 'Er1 Th1 Fe10'
_cell_length_a 3.9848
_cell_length_b 5.0227
_cell_length_c 8.6820
_cell_angle_alpha 90.00
_cell_angle_beta 90.00
_cell_angle_gamma 90.00
_space_group_name_H-M_alt 'P m m m'
_space_group_IT_number 47
_space_group_name_Hall '-P 2 2'
loop_
_atom_site_label
_atom_site_type_symbol
_atom_site_fract_x
_atom_site_fract_y
_atom_site_fract_z
_atom_site_occupancy
Er1 Er 0.0000 0.0000 0.0000 1
Th1 Th 0.0000 0.5000 0.5000 1
Fe1 Fe 0.0000 0.0000 0.3299 1
Fe2 Fe 0.0000 0.5000 0.1631 1
Fe3 Fe 0.5000 0.0000 0.5000 1
Fe4 Fe 0.5000 0.2479 0.2451 1
Fe5 Fe 0.5000 0.5000 0.0000 1
```

Largest 10 diffraction maxima, by angle, 2θ = 5–70°:
- 20.44°, d 4.345, intensity 123, hkl 0 0 2
- 30.44°, d 2.937, intensity 683, hkl 1 1 1
- 35.79°, d 2.509, intensity 380, hkl 0 2 0
- 41.56°, d 2.173, intensity 380, hkl 0 2 2
- 42.58°, d 2.123, intensity 1000, hkl 1 2 0
- 45.53°, d 1.992, intensity 237, hkl 2 0 0
- 59.22°, d 1.560, intensity 176, hkl 2 2 0
- 61.02°, d 1.518, intensity 195, hkl 1 1 5
- 63.34°, d 1.468, intensity 212, hkl 2 2 2
- 68.95°, d 1.362, intensity 151, hkl 1 3 3


For Tb4Dy15Tl, DFT lattice parameters and positions (PBE) gives the computed PXRD pattern in this record (Cu Kα).
Lines closer than 0.1° are merged.

Structural model:
```
data_Tb4Dy15Tl
_chemical_formula_sum 'Tb4 Dy15 Tl1'
_cell_length_a 4.9641
_cell_length_b 4.9641
_cell_length_c 25.1560
_cell_angle_alpha 90.00
_cell_angle_beta 90.00
_cell_angle_gamma 90.00
_space_group_name_H-M_alt 'P 4/m m m'
_space_group_IT_number 123
_space_group_name_Hall '-P 4 2'
loop_
_atom_site_label
_atom_site_type_symbol
_atom_site_fract_x
_atom_site_fract_y
_atom_site_fract_z
_atom_site_occupancy
Tb1 Tb 0.0000 0.0000 0.1007 1
Tb2 Tb 0.0000 0.0000 0.3018 1
Dy1 Dy 0.0000 0.5000 0.0000 1
Dy2 Dy 0.0000 0.5000 0.2015 1
Dy3 Dy 0.0000 0.5000 0.4027 1
Dy4 Dy 0.5000 0.5000 0.1014 1
Dy5 Dy 0.5000 0.5000 0.3042 1
Dy6 Dy 0.5000 0.5000 0.5000 1
Tl1 Tl 0.0000 0.0000 0.5000 1
```

Largest 8 diffraction maxima, by angle, 2θ = 5–70°:
- 31.07°, d 2.879, intensity 1000, hkl 1 1 5
- 35.69°, d 2.516, intensity 172, hkl 0 0 10
- 36.19°, d 2.482, intensity 334, hkl 2 0 0
- 51.74°, d 1.767, intensity 239, hkl 2 0 10
- 52.11°, d 1.755, intensity 119, hkl 2 2 0
- 61.26°, d 1.513, intensity 141, hkl 1 1 15
- 61.92°, d 1.499, intensity 282, hkl 3 1 5
- 64.77°, d 1.439, intensity 122, hkl 2 2 10


For Cu5B2Pd12, DFT lattice parameters and positions (PBE) gives the computed PXRD pattern in this record (Cu Kα).
Lines closer than 0.1° are merged.

Structural model:
```
data_Cu5B2Pd12
_chemical_formula_sum 'Cu10 B4 Pd24'
_cell_length_a 14.8378
_cell_length_b 5.5237
_cell_length_c 7.0876
_cell_angle_alpha 90.00
_cell_angle_beta 111.04
_cell_angle_gamma 90.00
_space_group_name_H-M_alt 'C 1 2/m 1'
_space_group_IT_number 12
_space_group_name_Hall '-C 2y'
loop_
_atom_site_label
_atom_site_type_symbol
_atom_site_fract_x
_atom_site_fract_y
_atom_site_fract_z
_atom_site_occupancy
Cu1 Cu 0.0000 0.0000 0.0000 1
Cu2 Cu 0.2461 0.0000 0.4954 1
Cu3 Cu 0.2487 0.0000 0.0007 1
B1 B 0.0000 0.3213 0.5000 1
Pd1 Pd 0.0065 0.5000 0.7837 1
Pd2 Pd 0.0354 0.0000 0.3534 1
Pd3 Pd 0.1479 0.2535 0.6802 1
Pd4 Pd 0.1482 0.2560 0.1653 1
```

Largest 10 diffraction maxima, by angle, 2θ = 5–70°:
- 33.97°, d 2.639, intensity 332, hkl 2 0 2
- 34.98°, d 2.565, intensity 151, hkl 2 2 0
- 38.74°, d 2.325, intensity 618, hkl 6 0 -2
- 39.02°, d 2.308, intensity 154, hkl 6 0 0
- 41.58°, d 2.172, intensity 916, hkl 2 2 -2
- 41.84°, d 2.159, intensity 1000, hkl 4 2 0
- 42.65°, d 2.120, intensity 143, hkl 0 2 2
- 44.14°, d 2.052, intensity 244, hkl 4 0 2
- 52.03°, d 1.758, intensity 257, hkl 4 0 -4
- 67.87°, d 1.381, intensity 143, hkl 0 4 0